Record 1
The following is a simulated powder X-ray diffraction pattern of NaPaTa4N8. It was derived from a DFT-relaxed cell (PBE, Alexandria), using Cu Kα (λ = 1.5418 Å).
Neutral-atom scattering factors, no anomalous dispersion.

Largest 10 diffraction maxima, in order of rising 2θ, 5 to 70 degrees two-theta:
| hkl | d (Å) | 2θ (°) | intensity |
| --- | --- | --- | --- |
| 0 0 3 | 5.165 | 17.17 | 21 |
| 1 0 4 | 3.174 | 28.11 | 43 |
| 0 2 1 | 2.723 | 32.89 | 100 |
| 0 1 5 | 2.704 | 33.13 | 31 |
| 2 0 2 | 2.607 | 34.40 | 25 |
| 1 1 6 | 2.009 | 45.13 | 11 |
| 2 1 4 | 1.841 | 49.51 | 18 |
| 1 2 5 | 1.734 | 52.79 | 19 |
| 2 2 0 | 1.598 | 57.68 | 22 |
| 2 0 8 | 1.587 | 58.13 | 16 |

Structure:
```
data_NaPaTa4N8
_symmetry_space_group_name_H-M 'R 3 m'
_symmetry_Int_Tables_number 160
_symmetry_space_group_name_Hall 'R 3 -2"'
_cell_length_a 6.3931
_cell_length_b 6.3931
_cell_length_c 15.4951
_cell_angle_alpha 90.00
_cell_angle_beta 90.00
_cell_angle_gamma 120.00
loop_
_atom_site_label
_atom_site_type_symbol
_atom_site_fract_x
_atom_site_fract_y
_atom_site_fract_z
Na1 Na 0.0000 0.0000 0.0000
Pa1 Pa 0.0000 0.0000 0.4081
Ta1 Ta 0.0000 0.0000 0.6304
Ta2 Ta 0.1716 0.3433 0.8411
N1 N 0.0000 0.0000 0.2518
N2 N 0.0000 0.0000 0.7612
N3 N 0.0150 0.5075 0.2410
N4 N 0.0409 0.5204 0.7681
```

=====

Record 2
The following is a simulated powder X-ray diffraction pattern of Na4TbPa3N8. It was derived from a DFT-relaxed cell (PBE, Alexandria), using Cu Kα (λ = 1.5418 Å).
Neutral-atom scattering factors, no anomalous dispersion.

Largest 10 diffraction maxima, in order of rising 2θ, 5 to 70 degrees two-theta:
| hkl | d (Å) | 2θ (°) | intensity |
| --- | --- | --- | --- |
| 2 0 -1 | 5.706 | 15.53 | 100 |
| 2 0 1 | 3.033 | 29.45 | 56 |
| 2 2 0 | 2.900 | 30.84 | 66 |
| 4 0 -2 | 2.853 | 31.36 | 22 |
| 4 0 0 | 2.501 | 35.91 | 68 |
| 4 2 -1 | 2.291 | 39.34 | 23 |
| 6 0 -1 | 1.916 | 47.46 | 20 |
| 2 2 2 | 1.779 | 51.35 | 25 |
| 6 2 -2 | 1.758 | 52.03 | 22 |
| 0 2 3 | 1.698 | 54.00 | 17 |

Structure:
```
data_Na4TbPa3N8
_symmetry_space_group_name_H-M 'C 1 2/m 1'
_symmetry_Int_Tables_number 12
_cell_length_a 12.135
_cell_length_b 7.111
_cell_length_c 7.029
_cell_angle_alpha 90.00
_cell_angle_beta 124.37
_cell_angle_gamma 90.00
loop_
_symmetry_equiv_pos_as_xyz
'x,y,z'
'-x,-y,-z'
'-x,y,-z'
'x,-y,z'
'x+1/2,y+1/2,z'
'-x+1/2,-y+1/2,-z'
'-x+1/2,y+1/2,-z'
'x+1/2,-y+1/2,z'
loop_
_atom_site_label
_atom_site_type_symbol
_atom_site_fract_x
_atom_site_fract_y
_atom_site_fract_z
Na1 Na 0.000 0.000 0.000
Na2 Na 0.000 0.500 0.000
Na3 Na 0.250 0.250 0.500
Tb1 Tb 0.000 0.000 0.500
Pa1 Pa 0.000 0.500 0.500
Pa2 Pa 0.250 0.250 0.000
N1 N 0.024 0.261 0.735
N2 N 0.231 0.500 0.770
N3 N 0.236 0.000 0.786
```

=====

Record 3
The following is a simulated powder X-ray diffraction pattern of NaTmPa4N8. It was derived from a DFT-relaxed cell (PBE, Alexandria), using Cu Kα (λ = 1.5418 Å).
Neutral-atom scattering factors, no anomalous dispersion.

Largest 10 diffraction maxima, in order of rising 2θ, 5 to 70 degrees two-theta:
| hkl | d (Å) | 2θ (°) | intensity |
| --- | --- | --- | --- |
| 0 0 3 | 5.178 | 17.13 | 38 |
| 1 0 4 | 3.282 | 27.17 | 42 |
| 0 2 1 | 3.012 | 29.66 | 100 |
| 1 1 3 | 2.925 | 30.56 | 37 |
| 2 0 2 | 2.855 | 31.33 | 45 |
| 0 1 5 | 2.772 | 32.29 | 34 |
| 1 1 6 | 2.090 | 43.29 | 19 |
| 2 1 4 | 1.992 | 45.54 | 21 |
| 1 2 5 | 1.859 | 49.00 | 22 |
| 2 2 0 | 1.772 | 51.57 | 34 |

Structure:
```
data_NaTmPa4N8
_symmetry_space_group_name_H-M 'R 3 m'
_symmetry_Int_Tables_number 160
_symmetry_space_group_name_Hall 'R 3 -2"'
_cell_length_a 7.0893
_cell_length_b 7.0893
_cell_length_c 15.5335
_cell_angle_alpha 90.00
_cell_angle_beta 90.00
_cell_angle_gamma 120.00
loop_
_atom_site_label
_atom_site_type_symbol
_atom_site_fract_x
_atom_site_fract_y
_atom_site_fract_z
Na1 Na 0.0000 0.0000 0.0000
Tm1 Tm 0.0000 0.0000 0.6245
Pa1 Pa 0.0000 0.0000 0.4077
Pa2 Pa 0.1673 0.3345 0.8383
N1 N 0.0000 0.0000 0.2519
N2 N 0.0000 0.0000 0.7681
N3 N 0.0024 0.5012 0.2279
N4 N 0.0204 0.5102 0.7598
```

=====

Record 4
The following is a simulated powder X-ray diffraction pattern of Na4YPa3N8. It was derived from a DFT-relaxed cell (PBE, Alexandria), using Cu Kα (λ = 1.5418 Å).
Neutral-atom scattering factors, no anomalous dispersion.

Largest 10 diffraction maxima, in order of rising 2θ, 5 to 70 degrees two-theta:
| hkl | d (Å) | 2θ (°) | intensity |
| --- | --- | --- | --- |
| 2 0 -1 | 5.706 | 15.53 | 100 |
| 2 0 1 | 3.030 | 29.48 | 55 |
| 2 2 0 | 2.897 | 30.87 | 66 |
| 4 0 -2 | 2.853 | 31.35 | 23 |
| 4 0 0 | 2.499 | 35.94 | 71 |
| 4 2 -1 | 2.289 | 39.36 | 22 |
| 6 0 -1 | 1.915 | 47.48 | 20 |
| 2 2 2 | 1.777 | 51.42 | 25 |
| 6 2 -2 | 1.757 | 52.05 | 22 |
| 4 4 -2 | 1.508 | 61.47 | 22 |

Structure:
```
data_Na4YPa3N8
_symmetry_space_group_name_H-M 'C 1 2/m 1'
_symmetry_Int_Tables_number 12
_cell_length_a 12.134
_cell_length_b 7.103
_cell_length_c 7.027
_cell_angle_alpha 90.00
_cell_angle_beta 124.44
_cell_angle_gamma 90.00
loop_
_symmetry_equiv_pos_as_xyz
'x,y,z'
'-x,-y,-z'
'-x,y,-z'
'x,-y,z'
'x+1/2,y+1/2,z'
'-x+1/2,-y+1/2,-z'
'-x+1/2,y+1/2,-z'
'x+1/2,-y+1/2,z'
loop_
_atom_site_label
_atom_site_type_symbol
_atom_site_fract_x
_atom_site_fract_y
_atom_site_fract_z
Na1 Na 0.000 0.000 0.000
Na2 Na 0.000 0.500 0.000
Na3 Na 0.250 0.250 0.500
Y1 Y 0.000 0.000 0.500
Pa1 Pa 0.000 0.500 0.500
Pa2 Pa 0.250 0.250 0.000
N1 N 0.024 0.261 0.735
N2 N 0.231 0.500 0.770
N3 N 0.236 0.000 0.785
```

=====

Record 5
The following is a simulated powder X-ray diffraction pattern of NaPm2Tc2N6. It was derived from a DFT-relaxed cell (PBE, Alexandria), using Cu Kα (λ = 1.5418 Å).
Neutral-atom scattering factors, no anomalous dispersion.

Largest 10 diffraction maxima, in order of rising 2θ, 5 to 70 degrees two-theta:
| hkl | d (Å) | 2θ (°) | intensity |
| --- | --- | --- | --- |
| 0 1 0 | 5.236 | 16.93 | 36 |
| 1 -1 0 | 5.047 | 17.57 | 81 |
| 1 0 -2 | 3.326 | 26.80 | 28 |
| 1 -2 0 | 3.105 | 28.76 | 100 |
| 0 0 2 | 3.009 | 29.69 | 55 |
| 2 -1 0 | 2.701 | 33.17 | 33 |
| -2 1 2 | 2.578 | 34.80 | 50 |
| 1 -1 2 | 2.360 | 38.13 | 29 |
| 1 1 1 | 2.187 | 41.29 | 22 |
| 3 -3 0 | 1.681 | 54.58 | 24 |

Structure:
```
data_NaPm2Tc2N6
_symmetry_space_group_name_H-M 'P -1'
_symmetry_Int_Tables_number 2
_cell_length_a 5.877
_cell_length_b 6.223
_cell_length_c 6.819
_cell_angle_alpha 93.86
_cell_angle_beta 112.26
_cell_angle_gamma 118.08
loop_
_symmetry_equiv_pos_as_xyz
'x,y,z'
'-x,-y,-z'
loop_
_atom_site_label
_atom_site_type_symbol
_atom_site_fract_x
_atom_site_fract_y
_atom_site_fract_z
Na1 Na 0.000 0.000 0.000
Pm1 Pm 0.386 0.730 0.266
Tc1 Tc 0.220 0.595 0.697
N1 N 0.101 0.689 0.877
N2 N 0.245 0.329 0.741
N3 N 0.482 0.149 0.337
```

=====

Record 6
The following is a simulated powder X-ray diffraction pattern of NaPm2TcN4. It was derived from a DFT-relaxed cell (PBE, Alexandria), using Cu Kα (λ = 1.5418 Å).
Neutral-atom scattering factors, no anomalous dispersion.

Largest 10 diffraction maxima, in order of rising 2θ, 5 to 70 degrees two-theta:
| hkl | d (Å) | 2θ (°) | intensity |
| --- | --- | --- | --- |
| 0 2 0 | 4.740 | 18.72 | 33 |
| 1 1 1 | 4.473 | 19.85 | 37 |
| 0 0 2 | 3.602 | 24.72 | 29 |
| 0 2 2 | 2.868 | 31.19 | 91 |
| 2 2 0 | 2.854 | 31.35 | 98 |
| 2 0 2 | 2.537 | 35.38 | 100 |
| 0 4 0 | 2.370 | 37.96 | 44 |
| 2 2 2 | 2.237 | 40.32 | 31 |
| 2 4 2 | 1.732 | 52.86 | 57 |
| 4 2 2 | 1.517 | 61.10 | 29 |

Structure:
```
data_NaPm2TcN4
_symmetry_space_group_name_H-M 'F m m 2'
_symmetry_Int_Tables_number 42
_symmetry_space_group_name_Hall 'F 2 -2'
_cell_length_a 7.148
_cell_length_b 9.480
_cell_length_c 7.204
_cell_angle_alpha 90.00
_cell_angle_beta 90.00
_cell_angle_gamma 90.00
loop_
_atom_site_label
_atom_site_type_symbol
_atom_site_fract_x
_atom_site_fract_y
_atom_site_fract_z
Na1 Na 0.000 0.000 0.000
Pm1 Pm 0.250 0.250 0.251
Tc1 Tc 0.000 0.000 0.439
N1 N 0.000 0.205 0.516
N2 N 0.215 0.000 0.297
```

=====

Record 7
The following is a simulated powder X-ray diffraction pattern of Na3Pt2N. It was derived from a DFT-relaxed cell (PBE, Alexandria), using Cu Kα (λ = 1.5418 Å).
Neutral-atom scattering factors, no anomalous dispersion.

Largest 10 diffraction maxima, in order of rising 2θ, 5 to 70 degrees two-theta:
| hkl | d (Å) | 2θ (°) | intensity |
| --- | --- | --- | --- |
| 0 2 0 | 4.465 | 19.88 | 56 |
| 1 1 1 | 4.267 | 20.82 | 100 |
| 2 0 -2 | 2.880 | 31.06 | 12 |
| 1 3 1 | 2.538 | 35.36 | 39 |
| 3 1 -1 | 2.468 | 36.40 | 26 |
| 2 0 2 | 2.429 | 37.01 | 20 |
| 2 2 -2 | 2.420 | 37.15 | 26 |
| 1 1 -3 | 2.313 | 38.93 | 25 |
| 2 2 2 | 2.134 | 42.36 | 17 |
| 2 4 -2 | 1.765 | 51.81 | 11 |

Structure:
```
data_Na3Pt2N
_symmetry_space_group_name_H-M 'C 1 2/c 1'
_symmetry_Int_Tables_number 15
_cell_length_a 7.849
_cell_length_b 8.931
_cell_length_c 7.256
_cell_angle_alpha 90.00
_cell_angle_beta 99.74
_cell_angle_gamma 90.00
loop_
_symmetry_equiv_pos_as_xyz
'x,y,z'
'-x,-y,-z'
'-x,y,-z+1/2'
'x,-y,z+1/2'
'x+1/2,y+1/2,z'
'-x+1/2,-y+1/2,-z'
'-x+1/2,y+1/2,-z+1/2'
'x+1/2,-y+1/2,z+1/2'
loop_
_atom_site_label
_atom_site_type_symbol
_atom_site_fract_x
_atom_site_fract_y
_atom_site_fract_z
Na1 Na 0.000 0.137 0.250
Na2 Na 0.198 0.431 0.008
Pt1 Pt 0.145 0.243 0.616
N1 N 0.000 0.131 0.750
```

=====

Record 8
The following is a simulated powder X-ray diffraction pattern of Na2SnPtN. It was derived from a DFT-relaxed cell (PBE, Alexandria), using Cu Kα (λ = 1.5418 Å).
Neutral-atom scattering factors, no anomalous dispersion.

Largest 10 diffraction maxima, in order of rising 2θ, 5 to 70 degrees two-theta:
| hkl | d (Å) | 2θ (°) | intensity |
| --- | --- | --- | --- |
| 1 1 0 | 4.243 | 20.94 | 82 |
| 1 0 1 | 3.285 | 27.15 | 100 |
| 2 0 0 | 3.000 | 29.78 | 63 |
| 2 1 1 | 2.215 | 40.73 | 70 |
| 2 2 0 | 2.122 | 42.62 | 24 |
| 3 1 0 | 1.898 | 47.94 | 19 |
| 3 0 1 | 1.782 | 51.28 | 34 |
| 2 0 2 | 1.642 | 55.99 | 21 |
| 3 2 1 | 1.532 | 60.42 | 23 |
| 4 1 1 | 1.364 | 68.81 | 29 |

Structure:
```
data_Na2SnPtN
_symmetry_space_group_name_H-M 'P 4/m m m'
_symmetry_Int_Tables_number 123
_symmetry_space_group_name_Hall '-P 4 2'
_cell_length_a 6.001
_cell_length_b 6.001
_cell_length_c 3.925
_cell_angle_alpha 90.00
_cell_angle_beta 90.00
_cell_angle_gamma 90.00
loop_
_atom_site_label
_atom_site_type_symbol
_atom_site_fract_x
_atom_site_fract_y
_atom_site_fract_z
Na1 Na 0.000 0.500 0.000
Sn1 Sn 0.000 0.000 0.000
Pt1 Pt 0.500 0.500 0.500
N1 N 0.000 0.000 0.500
```

=====

Record 9
The following is a simulated powder X-ray diffraction pattern of Na4Pu3RuN8. It was derived from a DFT-relaxed cell (PBE, Alexandria), using Cu Kα (λ = 1.5418 Å).
Neutral-atom scattering factors, no anomalous dispersion.

Largest 10 diffraction maxima, in order of rising 2θ, 5 to 70 degrees two-theta:
| hkl | d (Å) | 2θ (°) | intensity |
| --- | --- | --- | --- |
| 0 0 3 | 5.659 | 15.66 | 100 |
| 0 2 1 | 2.844 | 31.45 | 48 |
| 0 0 6 | 2.829 | 31.62 | 23 |
| 2 0 2 | 2.731 | 32.79 | 57 |
| 0 2 4 | 2.386 | 37.70 | 62 |
| 2 0 5 | 2.198 | 41.06 | 21 |
| 2 0 8 | 1.709 | 53.62 | 21 |
| 2 2 0 | 1.666 | 55.14 | 21 |
| 2 2 3 | 1.598 | 57.70 | 21 |
| 2 2 6 | 1.436 | 64.95 | 25 |

Structure:
```
data_Na4Pu3RuN8
_symmetry_space_group_name_H-M 'R -3 m'
_symmetry_Int_Tables_number 166
_symmetry_space_group_name_Hall '-R 3 2"'
_cell_length_a 6.6623
_cell_length_b 6.6623
_cell_length_c 16.9755
_cell_angle_alpha 90.00
_cell_angle_beta 90.00
_cell_angle_gamma 120.00
loop_
_atom_site_label
_atom_site_type_symbol
_atom_site_fract_x
_atom_site_fract_y
_atom_site_fract_z
Na1 Na 0.0000 0.0000 0.0000
Na2 Na 0.0000 0.5000 0.0000
Pu1 Pu 0.0000 0.5000 0.5000
Ru1 Ru 0.0000 0.0000 0.5000
N1 N 0.0000 0.0000 0.2291
N2 N 0.0032 0.5016 0.7704
```

=====

Record 10
The following is a simulated powder X-ray diffraction pattern of Na2PuVN4. It was derived from a DFT-relaxed cell (PBE, Alexandria), using Cu Kα (λ = 1.5418 Å).
Neutral-atom scattering factors, no anomalous dispersion.

Largest 10 diffraction maxima, in order of rising 2θ, 5 to 70 degrees two-theta:
| hkl | d (Å) | 2θ (°) | intensity |
| --- | --- | --- | --- |
| 0 1 0 | 7.482 | 11.83 | 100 |
| 0 1 1 | 3.947 | 22.53 | 44 |
| 1 0 1 | 3.797 | 23.43 | 44 |
| 1 1 1 | 3.386 | 26.32 | 50 |
| 2 0 0 | 3.296 | 27.05 | 27 |
| 1 2 0 | 3.254 | 27.41 | 32 |
| 2 1 0 | 3.017 | 29.61 | 53 |
| 0 2 1 | 2.914 | 30.68 | 53 |
| 2 1 1 | 2.530 | 35.48 | 34 |
| 2 2 1 | 2.183 | 41.36 | 28 |

Structure:
```
data_Na2PuVN4
_symmetry_space_group_name_H-M 'P m n 21'
_symmetry_Int_Tables_number 31
_cell_length_a 6.593
_cell_length_b 7.482
_cell_length_c 4.646
_cell_angle_alpha 90.00
_cell_angle_beta 90.00
_cell_angle_gamma 90.00
loop_
_symmetry_equiv_pos_as_xyz
'x,y,z'
'-x+1/2,-y,z+1/2'
'-x,y,z'
'x+1/2,-y,z+1/2'
loop_
_atom_site_label
_atom_site_type_symbol
_atom_site_fract_x
_atom_site_fract_y
_atom_site_fract_z
Na1 Na 0.241 0.128 0.000
Pu1 Pu 0.000 0.389 0.507
V1 V 0.000 0.685 0.955
N1 N 0.000 0.437 0.999
N2 N 0.000 0.657 0.560
N3 N 0.243 0.798 0.007
```

=====

Record 11
The following is a simulated powder X-ray diffraction pattern of Na2ReN3. It was derived from a DFT-relaxed cell (PBE, Alexandria), using Cu Kα (λ = 1.5418 Å).
Neutral-atom scattering factors, no anomalous dispersion.

Largest 10 diffraction maxima, in order of rising 2θ, 5 to 70 degrees two-theta:
| hkl | d (Å) | 2θ (°) | intensity |
| --- | --- | --- | --- |
| 1 1 0 | 5.563 | 15.93 | 56 |
| 2 0 0 | 5.466 | 16.22 | 81 |
| 1 1 1 | 3.958 | 22.46 | 100 |
| 3 1 0 | 3.174 | 28.11 | 34 |
| 0 0 2 | 2.816 | 31.77 | 33 |
| 0 2 1 | 2.803 | 31.93 | 41 |
| 3 1 1 | 2.765 | 32.37 | 58 |
| 2 2 1 | 2.494 | 36.01 | 34 |
| 3 3 2 | 1.549 | 59.70 | 22 |
| 6 0 2 | 1.528 | 60.58 | 24 |

Structure:
```
data_Na2ReN3
_symmetry_space_group_name_H-M 'C m c 21'
_symmetry_Int_Tables_number 36
_cell_length_a 10.933
_cell_length_b 6.462
_cell_length_c 5.633
_cell_angle_alpha 90.00
_cell_angle_beta 90.00
_cell_angle_gamma 90.00
loop_
_symmetry_equiv_pos_as_xyz
'x,y,z'
'-x,-y,z+1/2'
'-x,y,z'
'x,-y,z+1/2'
'x+1/2,y+1/2,z'
'-x+1/2,-y+1/2,z+1/2'
'-x+1/2,y+1/2,z'
'x+1/2,-y+1/2,z+1/2'
loop_
_atom_site_label
_atom_site_type_symbol
_atom_site_fract_x
_atom_site_fract_y
_atom_site_fract_z
Na1 Na 0.164 0.163 0.000
Re1 Re 0.000 0.349 0.514
N1 N 0.000 0.395 0.849
N2 N 0.132 0.202 0.440
```

=====

Record 12
The following is a simulated powder X-ray diffraction pattern of NaRe2N4. It was derived from a DFT-relaxed cell (PBE, Alexandria), using Cu Kα (λ = 1.5418 Å).
Neutral-atom scattering factors, no anomalous dispersion.

Largest 10 diffraction maxima, in order of rising 2θ, 5 to 70 degrees two-theta:
| hkl | d (Å) | 2θ (°) | intensity |
| --- | --- | --- | --- |
| 1 1 0 | 5.150 | 17.22 | 100 |
| 2 0 0 | 3.642 | 24.44 | 53 |
| 2 2 0 | 2.575 | 34.84 | 17 |
| 1 1 2 | 2.379 | 37.82 | 29 |
| 3 1 0 | 2.303 | 39.11 | 21 |
| 2 0 2 | 2.160 | 41.83 | 18 |
| 2 2 2 | 1.858 | 49.04 | 14 |
| 3 1 2 | 1.747 | 52.36 | 27 |
| 4 2 0 | 1.629 | 56.51 | 9 |
| 4 2 2 | 1.392 | 67.26 | 10 |

Structure:
```
data_NaRe2N4
_symmetry_space_group_name_H-M 'I 4/m m m'
_symmetry_Int_Tables_number 139
_symmetry_space_group_name_Hall '-I 4 2'
_cell_length_a 7.283
_cell_length_b 7.283
_cell_length_c 5.364
_cell_angle_alpha 90.00
_cell_angle_beta 90.00
_cell_angle_gamma 90.00
loop_
_atom_site_label
_atom_site_type_symbol
_atom_site_fract_x
_atom_site_fract_y
_atom_site_fract_z
Na1 Na 0.000 0.000 0.000
Re1 Re 0.000 0.500 0.250
N1 N 0.000 0.316 0.500
```